(1)
Simulated X-ray powder pattern of Fe2C9O9 for CuKα, from DFT lattice parameters and positions (GGA+U).
Lines closer than 0.1° are merged.

Most intense lines, 2θ = 10–90°, by angle:
| hkl | Position (°2θ) | Rel. int. |
| --- | --- | --- |
| 0 0 2 | 10.97 | 32 |
| 1 0 0 | 15.87 | 27 |
| 1 0 1 | 16.80 | 100 |
| 1 1 2 | 29.85 | 11 |
| 1 0 5 | 32.04 | 28 |
| 1 1 3 | 32.38 | 51 |
| 2 0 1 | 32.55 | 29 |
| 1 1 6 | 43.84 | 30 |
| 3 0 0 | 48.94 | 12 |
| 1 2 7 | 59.37 | 10 |

Cell and atoms:
```
data_Fe2C9O9
_chemical_formula_sum 'Fe4 C18 O18'
_cell_length_a 6.4472
_cell_length_b 6.4472
_cell_length_c 16.1367
_cell_angle_alpha 90.00
_cell_angle_beta 90.00
_cell_angle_gamma 120.00
_space_group_name_H-M_alt 'P 63/m'
_space_group_IT_number 176
_space_group_name_Hall '-P 6c'
loop_
_atom_site_label
_atom_site_type_symbol
_atom_site_fract_x
_atom_site_fract_y
_atom_site_fract_z
_atom_site_occupancy
Fe1 Fe 0.3333 0.6667 0.1717 1
C1 C 0.0887 0.6620 0.1140 1
C2 C 0.0923 0.4242 0.2500 1
O1 O 0.0639 0.3441 0.5743 1
O2 O 0.0903 0.7593 0.7500 1
```

(2)
Simulated X-ray powder pattern of Li3MnCo2O6 for CuKα, from DFT lattice parameters and positions (GGA+U).
Lines closer than 0.1° are merged.

Most intense lines, 2θ = 10–90°, by angle:
| hkl | Position (°2θ) | Rel. int. |
| --- | --- | --- |
| 2 0 -1 | 18.12 | 100 |
| 4 0 1 | 35.25 | 14 |
| 3 1 0 | 36.07 | 27 |
| 1 1 1 | 37.62 | 9 |
| 2 0 2 | 42.71 | 26 |
| 5 1 -1 | 43.51 | 50 |
| 1 1 -2 | 47.41 | 9 |
| 7 1 -2 | 57.11 | 9 |
| 3 1 -3 | 62.47 | 14 |
| 7 1 1 | 62.76 | 14 |

Cell and atoms:
```
data_Li3MnCo2O6
_chemical_formula_sum 'Li6 Mn2 Co4 O12'
_cell_length_a 15.501
_cell_length_b 2.897
_cell_length_c 5.196
_cell_angle_alpha 90.00
_cell_angle_beta 109.58
_cell_angle_gamma 90.00
_space_group_name_H-M_alt 'C 1 2/m 1'
_space_group_IT_number 12
loop_
_space_group_symop_operation_xyz
'x,y,z'
'-x,-y,-z'
'-x,y,-z'
'x,-y,z'
'x+1/2,y+1/2,z'
'-x+1/2,-y+1/2,-z'
'-x+1/2,y+1/2,-z'
'x+1/2,-y+1/2,z'
loop_
_atom_site_label
_atom_site_type_symbol
_atom_site_fract_x
_atom_site_fract_y
_atom_site_fract_z
_atom_site_occupancy
Li1 Li 0.000 0.000 0.000 1
Li2 Li 0.175 0.500 0.339 1
Mn1 Mn 0.000 0.500 0.500 1
Co1 Co 0.170 0.000 0.838 1
O1 O 0.074 0.000 0.427 1
O2 O 0.080 0.500 0.879 1
O3 O 0.250 0.000 0.241 1
```

(3)
Simulated X-ray powder pattern of Mg2TaWO6 for CuKα, from DFT lattice parameters and positions (GGA+U).
Lines closer than 0.1° are merged.

Most intense lines, 2θ = 10–90°, by angle:
| hkl | Position (°2θ) | Rel. int. |
| --- | --- | --- |
| 0 1 2 | 23.02 | 100 |
| 1 0 4 | 31.69 | 60 |
| 1 1 0 | 33.83 | 47 |
| 2 0 2 | 41.32 | 19 |
| 0 2 4 | 47.03 | 23 |
| 2 -1 6 | 51.53 | 36 |
| 3 -2 2 | 54.43 | 19 |
| 0 1 8 | 55.05 | 10 |
| 3 -1 4 | 59.19 | 22 |
| 3 0 0 | 60.53 | 16 |

Cell and atoms:
```
data_Mg2TaWO6
_chemical_formula_sum 'Mg6 Ta3 W3 O18'
_cell_length_a 5.2991
_cell_length_b 5.2991
_cell_length_c 14.3255
_cell_angle_alpha 90.00
_cell_angle_beta 90.00
_cell_angle_gamma 120.00
_space_group_name_H-M_alt 'R 3'
_space_group_IT_number 146
_space_group_name_Hall 'R 3'
loop_
_atom_site_label
_atom_site_type_symbol
_atom_site_fract_x
_atom_site_fract_y
_atom_site_fract_z
_atom_site_occupancy
Mg1 Mg 0.0000 0.0000 0.0000 1
Mg2 Mg 0.0000 0.0000 0.4955 1
Ta1 Ta 0.0000 0.0000 0.2050 1
W1 W 0.0000 0.0000 0.7043 1
O1 O 0.0274 0.3367 0.2735 1
O2 O 0.0415 0.6689 0.7787 1
```

(4)
Simulated X-ray powder pattern of Tb4MgW2O12 for CuKα, from DFT lattice parameters and positions (GGA+U).
Lines closer than 0.1° are merged.

Most intense lines, 2θ = 10–90°, by angle:
| hkl | Position (°2θ) | Rel. int. |
| --- | --- | --- |
| 1 -1 0 | 22.75 | 24 |
| -1 1 1 | 25.15 | 76 |
| 1 1 1 | 25.69 | 100 |
| 1 1 -2 | 30.46 | 78 |
| 1 -1 2 | 31.03 | 73 |
| 0 0 3 | 31.69 | 44 |
| 0 2 -1 | 32.74 | 36 |
| 2 0 0 | 33.58 | 63 |
| 2 0 3 | 47.54 | 42 |
| 0 2 -4 | 52.82 | 35 |

Cell and atoms:
```
data_Tb4MgW2O12
_chemical_formula_sum 'Tb4 Mg1 W2 O12'
_cell_length_a 5.340
_cell_length_b 5.706
_cell_length_c 8.482
_cell_angle_alpha 92.31
_cell_angle_beta 91.63
_cell_angle_gamma 90.31
_space_group_name_H-M_alt 'P 1'
_space_group_IT_number 1
loop_
_space_group_symop_operation_xyz
'x,y,z'
loop_
_atom_site_label
_atom_site_type_symbol
_atom_site_fract_x
_atom_site_fract_y
_atom_site_fract_z
_atom_site_occupancy
Tb1 Tb 0.000 0.000 0.000 1
Tb2 Tb 0.046 0.453 0.703 1
Tb3 Tb 0.461 0.984 0.723 1
Tb4 Tb 0.549 0.476 0.968 1
Mg1 Mg 0.551 0.583 0.510 1
W1 W 0.040 0.673 0.324 1
W2 W 0.530 0.152 0.332 1
O1 O 0.203 0.955 0.253 1
O2 O 0.210 0.735 0.531 1
O3 O 0.235 0.728 0.874 1
O4 O 0.258 0.233 0.878 1
O5 O 0.313 0.473 0.263 1
O6 O 0.381 0.262 0.545 1
O7 O 0.656 0.156 0.118 1
O8 O 0.696 0.660 0.741 1
O9 O 0.724 0.871 0.412 1
O10 O 0.776 0.203 0.818 1
O11 O 0.845 0.415 0.417 1
O12 O 0.866 0.657 0.127 1
```

(5)
Simulated X-ray powder pattern of Co2OF3 for CuKα, from DFT lattice parameters and positions (GGA+U).
Lines closer than 0.1° are merged.

Most intense lines, 2θ = 10–90°, by angle:
| hkl | Position (°2θ) | Rel. int. |
| --- | --- | --- |
| 0 2 0 | 26.06 | 91 |
| 0 0 2 | 27.28 | 81 |
| 5 1 1 | 34.36 | 100 |
| 5 2 0 | 39.01 | 15 |
| 5 0 2 | 39.87 | 16 |
| 5 3 1 | 51.52 | 62 |
| 5 1 3 | 52.92 | 46 |
| 0 4 0 | 53.60 | 18 |
| 10 0 0 | 59.01 | 18 |
| 5 3 3 | 66.44 | 36 |

Cell and atoms:
```
data_Co2OF3
_chemical_formula_sum 'Co20 O10 F30'
_cell_length_a 15.651
_cell_length_b 6.839
_cell_length_c 6.538
_cell_angle_alpha 90.00
_cell_angle_beta 90.00
_cell_angle_gamma 90.00
_space_group_name_H-M_alt 'A m m 2'
_space_group_IT_number 38
loop_
_space_group_symop_operation_xyz
'x,y,z'
'-x,-y,z'
'-x,y,z'
'x,-y,z'
'x,y+1/2,z+1/2'
'-x,-y+1/2,z+1/2'
'-x,y+1/2,z+1/2'
'x,-y+1/2,z+1/2'
loop_
_atom_site_label
_atom_site_type_symbol
_atom_site_fract_x
_atom_site_fract_y
_atom_site_fract_z
_atom_site_occupancy
Co1 Co 0.000 0.000 0.000 1
Co2 Co 0.101 0.000 0.519 1
Co3 Co 0.196 0.000 0.988 1
Co4 Co 0.300 0.000 0.541 1
Co5 Co 0.399 0.000 0.014 1
Co6 Co 0.500 0.000 0.480 1
O1 O 0.105 0.000 0.824 1
O2 O 0.300 0.000 0.817 1
O3 O 0.500 0.000 0.207 1
F1 F 0.000 0.198 0.516 1
F2 F 0.103 0.000 0.213 1
F3 F 0.204 0.198 0.515 1
F4 F 0.296 0.000 0.224 1
F5 F 0.400 0.193 0.513 1
F6 F 0.500 0.000 0.797 1
```

(6)
Simulated X-ray powder pattern of MgMn4Fe2O8 for CuKα, from DFT lattice parameters and positions (GGA+U).
Lines closer than 0.1° are merged.

Most intense lines, 2θ = 10–90°, by angle:
| hkl | Position (°2θ) | Rel. int. |
| --- | --- | --- |
| -1 1 1 | 29.14 | 56 |
| 1 -1 0 | 32.78 | 51 |
| 0 0 2 | 32.88 | 100 |
| 1 2 2 | 34.17 | 73 |
| 2 2 1 | 34.81 | 73 |
| 0 2 0 | 39.28 | 59 |
| 2 2 2 | 41.30 | 46 |
| 2 0 -2 | 41.52 | 50 |
| -2 2 2 | 60.37 | 44 |
| 2 4 2 | 60.46 | 43 |

Cell and atoms:
```
data_MgMn4Fe2O8
_chemical_formula_sum 'Mg1 Mn4 Fe2 O8'
_cell_length_a 6.015
_cell_length_b 6.132
_cell_length_c 6.360
_cell_angle_alpha 63.15
_cell_angle_beta 89.67
_cell_angle_gamma 60.73
_space_group_name_H-M_alt 'P -1'
_space_group_IT_number 2
loop_
_space_group_symop_operation_xyz
'x,y,z'
'-x,-y,-z'
loop_
_atom_site_label
_atom_site_type_symbol
_atom_site_fract_x
_atom_site_fract_y
_atom_site_fract_z
_atom_site_occupancy
Mg1 Mg 0.000 0.000 0.000 1
Mn1 Mn 0.000 0.500 0.000 1
Mn2 Mn 0.147 0.685 0.464 1
Mn3 Mn 0.500 0.000 0.500 1
Fe1 Fe 0.500 0.000 0.000 1
Fe2 Fe 0.500 0.500 0.000 1
O1 O 0.224 0.520 0.217 1
O2 O 0.256 0.996 0.769 1
O3 O 0.257 0.987 0.238 1
O4 O 0.267 0.436 0.826 1
```